[1]
# RbNaDy2As2
Simulated X-ray powder pattern, copper Kα. Input: a structure optimized by DFT (PBE).

Crystal structure
```
data_RbNaDy2As2
_cell_length_a 4.3311
_cell_length_b 4.3311
_cell_length_c 13.5334
_cell_angle_alpha 90.00
_cell_angle_beta 90.00
_cell_angle_gamma 120.00
_symmetry_space_group_name_H-M 'P 3 m 1'
_symmetry_Int_Tables_number 156
loop_
_symmetry_equiv_pos_as_xyz
'x,y,z'
'-y,x-y,z'
'-x+y,-x,z'
'-y,-x,z'
'-x+y,y,z'
'x,x-y,z'
loop_
_atom_site_label
_atom_site_type_symbol
_atom_site_fract_x
_atom_site_fract_y
_atom_site_fract_z
Rb1 Rb 0.0000 0.0000 0.0000
Na1 Na 0.6667 0.3333 0.5067
Dy1 Dy 0.3333 0.6667 0.2697
Dy2 Dy 0.3333 0.6667 0.7191
As1 As 0.0000 0.0000 0.6315
As2 As 0.6667 0.3333 0.1854
```

Principal peaks in the range 2θ = 10–90°, by angle:
(hkl), Position (°2θ), Rel. int.
0 0 2, 13.08, 67.3
0 1 2, 27.18, 100.0
0 1 3, 31.01, 36.1
1 0 4, 35.74, 24.6
0 1 5, 41.13, 30.8
1 1 0, 41.71, 45.4

[2]
# Rb2ZrSe3
Simulated X-ray powder pattern, copper Kα. Input: a structure optimized by DFT (PBE).

Crystal structure
```
data_Rb2ZrSe3
_cell_length_a 8.377
_cell_length_b 4.089
_cell_length_c 10.995
_cell_angle_alpha 90.00
_cell_angle_beta 96.29
_cell_angle_gamma 90.00
_symmetry_space_group_name_H-M 'P 1 21/m 1'
_symmetry_Int_Tables_number 11
loop_
_symmetry_equiv_pos_as_xyz
'x,y,z'
'-x,-y,-z'
'-x,y+1/2,-z'
'x,-y+1/2,z'
loop_
_atom_site_label
_atom_site_type_symbol
_atom_site_fract_x
_atom_site_fract_y
_atom_site_fract_z
Rb1 Rb 0.082 0.250 0.144
Rb2 Rb 0.247 0.750 0.478
Zr1 Zr 0.402 0.250 0.832
Se1 Se 0.134 0.250 0.699
Se2 Se 0.317 0.750 0.986
Se3 Se 0.457 0.250 0.285
```

Principal peaks in the range 2θ = 10–90°, by angle:
(hkl), Position (°2θ), Rel. int.
2 0 2, 28.34, 47.2
1 1 -2, 28.64, 100.0
3 1 0, 39.23, 30.6
1 1 4, 42.18, 25.8
0 2 0, 44.31, 18.0
2 2 2, 53.43, 15.5

[3]
# NbH10C4S2Cl4
Simulated X-ray powder pattern, copper Kα. Input: a structure optimized by DFT (PBE).

Crystal structure
```
data_NbH10C4S2Cl4
_cell_length_a 7.402
_cell_length_b 11.569
_cell_length_c 8.129
_cell_angle_alpha 90.00
_cell_angle_beta 116.55
_cell_angle_gamma 90.00
_symmetry_space_group_name_H-M 'P 1 21 1'
_symmetry_Int_Tables_number 4
loop_
_symmetry_equiv_pos_as_xyz
'x,y,z'
'-x,y+1/2,-z'
loop_
_atom_site_label
_atom_site_type_symbol
_atom_site_fract_x
_atom_site_fract_y
_atom_site_fract_z
Nb1 Nb 0.193 0.000 0.248
H1 H 0.011 0.495 0.274
H2 H 0.051 0.128 0.649
H3 H 0.102 0.629 0.231
H4 H 0.237 0.296 0.702
H5 H 0.255 0.855 0.865
H6 H 0.271 0.444 0.652
H7 H 0.304 0.328 0.521
H8 H 0.423 0.544 0.938
H9 H 0.428 0.034 0.821
H10 H 0.481 0.336 0.050
C1 C 0.024 0.086 0.758
C2 C 0.323 0.355 0.657
C3 C 0.403 0.885 0.970
C4 C 0.431 0.014 0.954
S1 S 0.242 0.105 0.977
S2 S 0.412 0.840 0.188
Cl1 Cl 0.024 0.645 0.728
Cl2 Cl 0.063 0.394 0.991
Cl3 Cl 0.197 0.884 0.491
Cl4 Cl 0.494 0.104 0.415
```

Principal peaks in the range 2θ = 10–90°, by angle:
(hkl), Position (°2θ), Rel. int.
1 0 -1, 13.47, 27.8
0 1 1, 14.39, 100.0
0 2 0, 15.32, 35.4
1 1 0, 15.42, 94.1
1 2 -2, 26.93, 27.2
2 2 -1, 28.64, 23.1

[4]
# Sm2Ho2CI3Br2
Simulated X-ray powder pattern, copper Kα. Input: a structure optimized by DFT (PBE).

Crystal structure
```
data_Sm2Ho2CI3Br2
_cell_length_a 18.238
_cell_length_b 3.934
_cell_length_c 8.572
_cell_angle_alpha 90.00
_cell_angle_beta 102.82
_cell_angle_gamma 90.00
_symmetry_space_group_name_H-M 'C 1 2/m 1'
_symmetry_Int_Tables_number 12
loop_
_symmetry_equiv_pos_as_xyz
'x,y,z'
'-x,-y,-z'
'-x,y,-z'
'x,-y,z'
'x+1/2,y+1/2,z'
'-x+1/2,-y+1/2,-z'
'-x+1/2,y+1/2,-z'
'x+1/2,-y+1/2,z'
loop_
_atom_site_label
_atom_site_type_symbol
_atom_site_fract_x
_atom_site_fract_y
_atom_site_fract_z
Sm1 Sm 0.139 0.000 0.066
Ho1 Ho 0.002 0.500 0.812
C1 C 0.000 0.000 0.000
I1 I 0.000 0.000 0.500
I2 I 0.167 0.500 0.351
Br1 Br 0.166 0.500 0.826
```

Principal peaks in the range 2θ = 10–90°, by angle:
(hkl), Position (°2θ), Rel. int.
6 0 0, 30.15, 48.4
3 1 1, 30.49, 34.0
1 1 -2, 30.85, 100.0
4 0 -3, 33.96, 41.3
5 1 2, 43.47, 27.2
7 1 -2, 43.89, 29.6